For Li8VO5F, a structure optimized by DFT (PBE+U) gives the calculated powder diffractogram in this record (Cu Ka).

Peak list (10 most intense, 2θ = 15–90°, most intense first)
| d/Å | Rel. int. |
| --- | --- |
| 2.477 | 1000 |
| 2.371 | 841 |
| 2.397 | 824 |
| 5.116 | 752 |
| 4.520 | 731 |
| 4.471 | 661 |
| 4.605 | 632 |
| 4.032 | 583 |
| 4.106 | 569 |
| 1.858 | 559 |

Cell and atoms:
Unit cell a=5.417 b=5.446 c=5.949 alpha=90.69 beta=116.34 gamma=118.22
Space group P1 (No. 1)
Symmetry-distinct sites (fractional):
Li1 0.000 0.000 0.000
Li2 0.035 0.168 0.643
Li3 0.169 0.434 0.353
Li4 0.413 0.886 0.643
Li5 0.525 0.132 0.354
Li6 0.592 0.331 0.955
Li7 0.689 0.545 0.632
Li8 0.870 0.742 0.349
V1 0.253 0.629 0.975
O1 0.121 0.879 0.752
O2 0.140 0.745 0.228
O3 0.411 0.552 0.744
O4 0.435 0.416 0.224
O5 0.794 0.254 0.750
F1 0.783 0.053 0.251